This entry pairs a crystal structure of AlCr2GaO6 with its simulated XRD peak list. Radiation: Cu Ka. Structure: a crystal structure in Alexandria, relaxed with PBE+U.
Peak positions follow from Bragg's law for the DFT cell and can differ from measured ones.

Top 10 peaks for 15° ≤ 2θ ≤ 90°, sorted by position:
| two_theta | intensity |
| --- | --- |
| 21.5 | 21.0 |
| 24.3 | 43.3 |
| 33.5 | 100.0 |
| 35.8 | 79.2 |
| 41.1 | 34.7 |
| 49.8 | 41.5 |
| 54.6 | 64.7 |
| 62.9 | 35.4 |
| 64.3 | 38.4 |
| 73.1 | 14.8 |

```
AlCr2GaO6
1.0
2.5096 1.4489 4.5205
-2.5096 1.4489 4.5205
0.0000 -2.8979 4.5205
Al Cr Ga O
1 2 1 6
direct
0.0000 0.0000 0.0000 Al
0.3004 0.3004 0.3004 Cr
0.7973 0.7973 0.7973 Cr
0.5053 0.5053 0.5053 Ga
0.0956 0.3794 0.7144 O
0.2003 0.8926 0.6069 O
0.3794 0.7144 0.0956 O
0.6069 0.2003 0.8926 O
0.7144 0.0956 0.3794 O
0.8926 0.6069 0.2003 O
```